Computed powder diffraction line list
Compound: Ca2Be2MoO6
Radiation: Cu Kα X-rays
Structure: the GGA+U geometry in Alexandria

Main lines, in order of rising 2θ (2θ = 10–90°):
Position (°2θ)  I_rel
19.99  100
22.26  31
29.73  30
33.54  61
34.35  80
39.36  19
45.42  49
48.53  24
48.77  30
60.49  27

Atomic structure:
```
Ca2Be2MoO6
1.0
2.672 1.543 5.269
-2.672 1.543 5.269
0.000 -3.085 5.269
Ca Be Mo O
2 2 1 6
Direct
0.207 0.207 0.207
0.793 0.793 0.793
0.417 0.417 0.417
0.583 0.583 0.583
0.000 0.000 0.000
0.252 0.746 0.746
0.254 0.254 0.748
0.254 0.748 0.254
0.746 0.252 0.746
0.746 0.746 0.252
0.748 0.254 0.254
```